Record 1
Diffraction record for Li7Mn2Co3O12. The powder XRD pattern is computed, not measured: it uses a structure optimized by DFT (GGA+U) and Cu Kα X-rays.
Kinematic intensities with the Lorentz-polarization factor, no thermal factor.

Largest 8 diffraction maxima, sorted by position, 2θ = 5–70°:
18.39 deg, I = 100.0; 35.51 deg, I = 15.3; 36.34 deg, I = 24.5; 42.90 deg, I = 30.0; 44.06 deg, I = 54.9; 62.97 deg, I = 7.6; 63.11 deg, I = 7.5; 63.33 deg, I = 15.5

a b c (Å): 5.0952 5.8759 7.7132
angles (deg): 102.17 108.22 90.57
Fractional coordinates of all 24 atoms:
Li: 0.0000 0.0000 0.0000
Li: 0.0025 0.3437 0.3359
Li: 0.0061 0.8453 0.3376
Li: 0.0091 0.5183 0.9986
Li: 0.0107 0.1746 0.6729
Li: 0.0136 0.6776 0.6749
Li: 0.5072 0.7604 0.0048
Mn: 0.5036 0.2641 0.0034
Mn: 0.5046 0.5976 0.3346
Co: 0.5068 0.0928 0.3347
Co: 0.5071 0.9230 0.6763
Co: 0.5128 0.4379 0.6809
O: 0.2723 0.3243 0.1644
O: 0.2763 0.4494 0.8413
O: 0.2783 0.6307 0.5013
O: 0.2813 0.9834 0.8366
O: 0.2858 0.8067 0.1951
O: 0.2944 0.1391 0.5055
O: 0.7198 0.0702 0.1669
O: 0.7197 0.3834 0.4823
O: 0.7262 0.5424 0.1714
O: 0.7379 0.2192 0.8460
O: 0.7419 0.8656 0.5042
O: 0.7486 0.7061 0.8246

=====

Record 2
Diffraction record for Li4MnCo2O7. The powder XRD pattern is computed, not measured: it uses a structure optimized by DFT (GGA+U) and Cu Kα X-rays.
Kinematic intensities with the Lorentz-polarization factor, no thermal factor.

Largest 8 diffraction maxima, sorted by position, 2θ = 5–70°:
9.97 deg, I = 12.9; 18.28 deg, I = 100.0; 35.69 deg, I = 12.4; 35.89 deg, I = 13.9; 36.28 deg, I = 13.2; 43.28 deg, I = 54.6; 43.94 deg, I = 26.7; 62.68 deg, I = 14.7

a b c (Å): 2.9067 9.8002 9.8376
angles (deg): 114.31 97.87 90.75
Fractional coordinates of all 28 atoms:
Li: 0.0000 0.0000 0.0000
Li: 0.0524 0.7984 0.1333
Li: 0.1154 0.5858 0.2774
Li: 0.2731 0.1501 0.5648
Li: 0.4177 0.7280 0.8647
Li: 0.5371 0.3050 0.1388
Li: 0.6930 0.8494 0.4037
Li: 0.8265 0.4502 0.7121
Mn: 0.6328 0.0717 0.2732
Mn: 0.9108 0.2275 0.8542
Co: 0.1936 0.3673 0.4273
Co: 0.3336 0.9347 0.7049
Co: 0.4886 0.5340 0.0112
Co: 0.7587 0.6534 0.5659
O: 0.0040 0.3952 0.0468
O: 0.1114 0.1794 0.2213
O: 0.1643 0.9871 0.3449
O: 0.2262 0.7587 0.5004
O: 0.2865 0.5463 0.6282
O: 0.3843 0.3194 0.7904
O: 0.4361 0.1294 0.9141
O: 0.5355 0.9202 0.0826
O: 0.5828 0.6765 0.1993
O: 0.6357 0.4702 0.3618
O: 0.7440 0.2568 0.4809
O: 0.8098 0.0536 0.6567
O: 0.8682 0.8290 0.7684
O: 0.9486 0.6071 0.9245

=====

Record 3
Diffraction record for Li7Mn2Co3O12. The powder XRD pattern is computed, not measured: it uses a structure optimized by DFT (GGA+U) and Cu Kα X-rays.
Kinematic intensities with the Lorentz-polarization factor, no thermal factor.

Largest 8 diffraction maxima, sorted by position, 2θ = 5–70°:
9.08 deg, I = 14.6; 18.21 deg, I = 100.0; 36.05 deg, I = 37.7; 43.44 deg, I = 56.9; 43.69 deg, I = 26.4; 57.08 deg, I = 9.9; 62.95 deg, I = 14.5; 63.67 deg, I = 13.8

a b c (Å): 7.7422 7.7422 11.9212
angles (deg): 124.46 124.46 21.68
Fractional coordinates of all 24 atoms:
Li: 0.0000 0.0000 0.0000
Li: 0.0014 0.0014 0.7509
Li: 0.0024 0.0024 0.5123
Li: 0.3311 0.3311 0.0013
Li: 0.3467 0.3467 0.5162
Li: 0.6600 0.6600 0.9885
Li: 0.6691 0.6691 0.5100
Mn: 0.6621 0.6621 0.7485
Mn: 0.6710 0.6710 0.2574
Co: 0.3434 0.3434 0.2541
Co: 0.3504 0.3504 0.7623
Co: 0.9973 0.9973 0.2517
O: 0.1688 0.1688 0.8622
O: 0.1697 0.1697 0.6434
O: 0.1722 0.1722 0.1482
O: 0.1720 0.1720 0.3674
O: 0.4947 0.4947 0.8776
O: 0.4969 0.4969 0.3712
O: 0.5134 0.5134 0.6370
O: 0.5144 0.5144 0.1459
O: 0.8255 0.8255 0.8587
O: 0.8268 0.8268 0.3648
O: 0.8288 0.8288 0.1279
O: 0.8326 0.8326 0.6407

=====

Record 4
Diffraction record for Li4MnCo2O7. The powder XRD pattern is computed, not measured: it uses a structure optimized by DFT (GGA+U) and Cu Kα X-rays.
Kinematic intensities with the Lorentz-polarization factor, no thermal factor.

Largest 8 diffraction maxima, sorted by position, 2θ = 5–70°:
8.93 deg, I = 10.6; 18.49 deg, I = 100.0; 34.76 deg, I = 17.4; 36.83 deg, I = 23.1; 41.86 deg, I = 33.5; 44.79 deg, I = 51.5; 62.86 deg, I = 15.9; 63.07 deg, I = 15.2

a b c (Å): 10.2443 10.2443 5.1863
angles (deg): 95.54 95.54 150.56
Fractional coordinates of all 28 atoms:
Li: 0.0004 0.9996 0.0000
Li: 0.0713 0.9287 0.5000
Li: 0.2147 0.7853 0.5000
Li: 0.3601 0.6399 0.5000
Li: 0.5000 0.5000 0.5000
Li: 0.6439 0.3561 0.5000
Li: 0.7860 0.2140 0.5000
Li: 0.9310 0.0690 0.5000
Mn: 0.2873 0.7127 0.0000
Mn: 0.5724 0.4276 0.0000
Co: 0.1433 0.8567 0.0000
Co: 0.4295 0.5705 0.0000
Co: 0.7153 0.2847 0.0000
Co: 0.8601 0.1399 0.0000
O: 0.0066 0.4339 0.2279
O: 0.1381 0.4156 0.7665
O: 0.1798 0.3291 0.2092
O: 0.2833 0.2830 0.7667
O: 0.3323 0.1799 0.2114
O: 0.4148 0.1279 0.7672
O: 0.4450 0.0147 0.2282
O: 0.5661 0.9934 0.7721
O: 0.5844 0.8619 0.2335
O: 0.6709 0.8202 0.7908
O: 0.7170 0.7167 0.2333
O: 0.8201 0.6677 0.7886
O: 0.8721 0.5852 0.2328
O: 0.9853 0.5550 0.7718

=====

Record 5
Diffraction record for Li7Mn2Co3O12. The powder XRD pattern is computed, not measured: it uses a structure optimized by DFT (GGA+U) and Cu Kα X-rays.
Kinematic intensities with the Lorentz-polarization factor, no thermal factor.

Largest 8 diffraction maxima, sorted by position, 2θ = 5–70°:
18.44 deg, I = 100.0; 35.80 deg, I = 14.0; 36.32 deg, I = 25.1; 43.28 deg, I = 29.4; 44.04 deg, I = 55.0; 63.25 deg, I = 14.9; 63.65 deg, I = 22.4; 64.44 deg, I = 7.2

a b c (Å): 5.8497 6.5195 6.5318
angles (deg): 96.67 115.71 102.95
Fractional coordinates of all 24 atoms:
Li: 0.0000 0.0000 0.0000
Li: 0.0019 0.6731 0.6618
Li: 0.0043 0.3460 0.3313
Li: 0.4990 0.6689 0.6604
Li: 0.5046 0.0005 0.9951
Li: 0.5121 0.3433 0.3290
Li: 0.7566 0.6706 0.1629
Mn: 0.2559 0.6688 0.1649
Mn: 0.2591 0.3410 0.8334
Co: 0.2393 0.0023 0.4869
Co: 0.7513 0.9971 0.4891
Co: 0.7516 0.3432 0.8330
O: 0.1254 0.0219 0.7420
O: 0.1409 0.6797 0.3990
O: 0.1578 0.3557 0.0820
O: 0.3581 0.3377 0.5922
O: 0.3653 0.6524 0.9214
O: 0.3724 0.9841 0.2453
O: 0.6072 0.3344 0.0458
O: 0.6097 0.6823 0.4012
O: 0.6211 0.0305 0.7309
O: 0.8902 0.0100 0.2663
O: 0.8913 0.3318 0.6121
O: 0.8974 0.6496 0.9267

=====

Record 6
Diffraction record for Li7Mn4CoO12. The powder XRD pattern is computed, not measured: it uses a structure optimized by DFT (GGA+U) and Cu Kα X-rays.
Kinematic intensities with the Lorentz-polarization factor, no thermal factor.

Largest 8 diffraction maxima, sorted by position, 2θ = 5–70°:
7.24 deg, I = 14.7; 18.27 deg, I = 100.0; 34.06 deg, I = 18.7; 36.44 deg, I = 22.0; 40.81 deg, I = 36.5; 44.33 deg, I = 28.0; 44.52 deg, I = 26.6; 61.70 deg, I = 16.7

a b c (Å): 3.0050 6.0342 12.5621
angles (deg): 76.46 88.00 85.50
Fractional coordinates of all 24 atoms:
Li: 0.0000 0.0000 0.0000
Li: 0.0024 0.3219 0.3414
Li: 0.0056 0.6431 0.6835
Li: 0.4974 0.8129 0.8352
Li: 0.5051 0.4861 0.5120
Li: 0.5069 0.1593 0.1751
Li: 0.5139 0.3369 0.8362
Mn: 0.9999 0.4842 0.0000
Mn: 0.0027 0.8240 0.3424
Mn: 0.4951 0.6508 0.1741
Mn: 0.5060 0.9915 0.5126
Co: 0.0115 0.1633 0.6834
O: 0.0022 0.0772 0.8258
O: 0.0077 0.5686 0.8521
O: 0.0315 0.2258 0.5227
O: 0.0341 0.8947 0.1783
O: 0.4700 0.5814 0.3348
O: 0.4745 0.7066 0.0114
O: 0.4790 0.9208 0.6703
O: 0.5289 0.2717 0.0063
O: 0.5322 0.3840 0.6748
O: 0.5374 0.0659 0.3490
O: 0.9681 0.4178 0.1655
O: 0.9746 0.7510 0.5019

=====

Record 7
Diffraction record for Li4MnCo2O7. The powder XRD pattern is computed, not measured: it uses a structure optimized by DFT (GGA+U) and Cu Kα X-rays.
Kinematic intensities with the Lorentz-polarization factor, no thermal factor.

Largest 8 diffraction maxima, sorted by position, 2θ = 5–70°:
18.40 deg, I = 100.0; 35.55 deg, I = 15.2; 35.97 deg, I = 14.1; 36.62 deg, I = 12.4; 42.89 deg, I = 29.5; 43.65 deg, I = 28.5; 44.45 deg, I = 26.4; 62.85 deg, I = 15.4

a b c (Å): 5.1510 7.6283 7.6973
angles (deg): 114.46 108.60 96.88
Fractional coordinates of all 28 atoms:
Li: 0.0000 0.0000 0.0000
Li: 0.0066 0.5012 0.4985
Li: 0.1442 0.9253 0.6509
Li: 0.2899 0.3621 0.7896
Li: 0.4370 0.7929 0.9313
Li: 0.5719 0.2091 0.0672
Li: 0.7135 0.6406 0.2119
Li: 0.8508 0.0630 0.3435
Mn: 0.4312 0.2850 0.4229
Mn: 0.7159 0.1444 0.7176
Co: 0.1428 0.4274 0.1395
Co: 0.2720 0.8550 0.2748
Co: 0.5813 0.7185 0.5753
Co: 0.8627 0.5840 0.8587
O: 0.0490 0.2632 0.2583
O: 0.1046 0.1924 0.8907
O: 0.1677 0.6701 0.3780
O: 0.2659 0.6020 0.0387
O: 0.3152 0.1140 0.5338
O: 0.4302 0.0428 0.1985
O: 0.4418 0.5271 0.6610
O: 0.5722 0.9672 0.8051
O: 0.5757 0.4589 0.3322
O: 0.7086 0.3815 0.9404
O: 0.7163 0.9035 0.4856
O: 0.8228 0.3101 0.6006
O: 0.8686 0.8118 0.1089
O: 0.9912 0.7371 0.7502

=====

Record 8
Diffraction record for Li4Mn3CoO8. The powder XRD pattern is computed, not measured: it uses a structure optimized by DFT (GGA+U) and Cu Kα X-rays.
Kinematic intensities with the Lorentz-polarization factor, no thermal factor.

Largest 8 diffraction maxima, sorted by position, 2θ = 5–70°:
18.16 deg, I = 100.0; 32.99 deg, I = 22.4; 36.37 deg, I = 12.1; 36.53 deg, I = 16.2; 39.28 deg, I = 36.7; 44.44 deg, I = 24.3; 44.74 deg, I = 23.6; 65.55 deg, I = 9.5

a b c (Å): 5.1121 5.4492 5.6943
angles (deg): 89.83 73.50 85.37
Fractional coordinates of all 16 atoms:
Li: 0.0039 0.2535 0.3719
Li: 0.0074 0.2289 0.8747
Li: 0.9926 0.7711 0.1253
Li: 0.9961 0.7465 0.6281
Mn: 0.4980 0.5022 0.7511
Mn: 0.5000 0.0000 0.5000
Mn: 0.5020 0.4978 0.2489
Co: 0.5000 0.0000 0.0000
O: 0.2662 0.3898 0.5588
O: 0.2666 0.8892 0.8078
O: 0.2710 0.8923 0.3006
O: 0.2758 0.3755 0.0570
O: 0.7242 0.6245 0.9430
O: 0.7290 0.1077 0.6994
O: 0.7334 0.1108 0.1922
O: 0.7338 0.6102 0.4412

=====

Record 9
Diffraction record for Li4Mn3Co3O12. The powder XRD pattern is computed, not measured: it uses a structure optimized by DFT (GGA+U) and Cu Kα X-rays.
Kinematic intensities with the Lorentz-polarization factor, no thermal factor.

Largest 8 diffraction maxima, sorted by position, 2θ = 5–70°:
17.85 deg, I = 100.0; 34.64 deg, I = 12.5; 35.97 deg, I = 11.3; 36.82 deg, I = 11.0; 41.12 deg, I = 22.2; 43.28 deg, I = 19.0; 44.72 deg, I = 17.7; 63.09 deg, I = 10.0

a b c (Å): 5.7486 7.9754 10.1156
angles (deg): 80.53 83.18 78.65
Fractional coordinates of all 44 atoms:
Li: 0.0008 0.2448 0.2496
Li: 0.1902 0.6153 0.2542
Li: 0.2184 0.1274 0.7477
Li: 0.4979 0.2372 0.2485
Li: 0.5021 0.7628 0.7515
Li: 0.7816 0.8726 0.2523
Li: 0.8098 0.3847 0.7458
Li: 0.9992 0.7552 0.7504
Mn: 0.0000 0.0000 0.5000
Mn: 0.0000 0.5000 0.0000
Mn: 0.3296 0.6644 0.5010
Mn: 0.3332 0.1650 0.9961
Mn: 0.6668 0.8350 0.0039
Mn: 0.6704 0.3356 0.4990
Co: 0.1646 0.8361 0.0085
Co: 0.1662 0.3378 0.5015
Co: 0.5000 0.0000 0.5000
Co: 0.5000 0.5000 0.0000
Co: 0.8338 0.6622 0.4985
Co: 0.8354 0.1639 0.9915
O: 0.0731 0.7753 0.3917
O: 0.0830 0.5564 0.6064
O: 0.0902 0.2791 0.8830
O: 0.0906 0.0548 0.1042
O: 0.2397 0.6265 0.8983
O: 0.2431 0.1173 0.3942
O: 0.2584 0.3538 0.1072
O: 0.2578 0.8546 0.6087
O: 0.4019 0.4646 0.3986
O: 0.4123 0.9677 0.8953
O: 0.4243 0.7102 0.1043
O: 0.4266 0.2167 0.5979
O: 0.5734 0.7833 0.4021
O: 0.5757 0.2898 0.8957
O: 0.5877 0.0323 0.1047
O: 0.5981 0.5354 0.6014
O: 0.7422 0.1454 0.3913
O: 0.7416 0.6462 0.8928
O: 0.7569 0.8827 0.6058
O: 0.7603 0.3735 0.1017
O: 0.9094 0.9452 0.8958
O: 0.9098 0.7209 0.1170
O: 0.9170 0.4436 0.3936
O: 0.9269 0.2247 0.6083